(1)
Ac4Ir2Pt: calculated powder XRD pattern (CuKα), based on the PBE geometry in OQMD.
Lines closer than 0.1° are merged.

Cell and atoms:
```
Ac4Ir2Pt
1.0
2.1400 -7.1210 0.0000
2.1400 7.1210 0.0000
0.0000 0.0000 14.5031
Ac Ir Pt
8 4 2
direct
0.0000 0.0000 0.0000
0.0000 0.0000 0.5000
0.2721 0.7279 0.6168
0.2721 0.7279 0.8832
0.4611 0.5389 0.2500
0.5389 0.4611 0.7500
0.7279 0.2721 0.1168
0.7279 0.2721 0.3832
0.3678 0.6322 0.0670
0.3678 0.6322 0.4330
0.6322 0.3678 0.5670
0.6322 0.3678 0.9330
0.1151 0.8849 0.2500
0.8849 0.1151 0.7500
```

Principal peaks in the range 2θ from 10° to 80°, most intense first:
Position (°2θ), Rel. int.
28.8, 1000
30.7, 954
27.6, 908
42.4, 792
42.2, 498
38.0, 447
40.0, 349
51.2, 346
73.4, 278
61.4, 277
22.2, 255
68.3, 230



(2)
Gd3AsP2: calculated powder XRD pattern (CuKα), based on the PBE geometry in OQMD.
Lines closer than 0.1° are merged.

Cell and atoms:
```
Gd3AsP2
1.0
4.0849 0.0000 0.0000
-2.0425 3.5376 0.0000
0.0000 0.0000 10.0154
Gd As P
3 1 2
direct
0.0000 0.0000 0.0000
0.3333 0.6667 0.3273
0.6667 0.3333 0.6727
0.0000 0.0000 0.5000
0.3333 0.6667 0.8358
0.6667 0.3333 0.1642
```

Principal peaks in the range 2θ from 10° to 80°, most intense first:
Position (°2θ), Rel. int.
30.9, 1000
44.3, 727
26.7, 558
73.3, 325
52.5, 267
55.0, 256
64.5, 117
71.1, 111
37.0, 11
25.2, 10
58.3, 7
65.2, 6



(3)
InNi15: calculated powder XRD pattern (CuKα), based on the PBE geometry in OQMD.
Lines closer than 0.1° are merged.

Cell and atoms:
```
InNi15
1.0
5.0082 0.0000 0.0000
0.0000 2.5561 0.0000
-0.0017 0.0000 39.8717
In Ni
2 30
direct
0.1250 0.2500 0.3336
0.8750 0.7500 0.6664
0.1221 0.2500 0.7230
0.1250 0.2500 0.0635
0.1250 0.2500 0.1488
0.1250 0.2500 0.2343
0.1254 0.2500 0.8086
0.1249 0.2500 0.8937
0.1250 0.2500 0.9787
0.3721 0.7500 0.2770
0.3750 0.7500 0.0213
0.3749 0.7500 0.1063
0.3754 0.7500 0.1914
0.3750 0.7500 0.6813
0.3750 0.7500 0.7658
0.3750 0.7500 0.8514
0.3750 0.7500 0.9365
0.6250 0.2500 0.0635
0.6250 0.2500 0.1486
0.6250 0.2500 0.2342
0.6250 0.2500 0.3187
0.6246 0.2500 0.8086
0.6251 0.2500 0.8937
0.6250 0.2500 0.9787
0.6279 0.2500 0.7230
0.8750 0.7500 0.0213
0.8751 0.7500 0.1063
0.8746 0.7500 0.1914
0.8750 0.7500 0.7657
0.8750 0.7500 0.8512
0.8750 0.7500 0.9365
0.8779 0.7500 0.2770
```

Principal peaks in the range 2θ from 10° to 80°, most intense first:
Position (°2θ), Rel. int.
51.1, 1000
44.7, 907
45.3, 851
43.3, 628
43.9, 601
76.5, 284
52.8, 230
11.1, 184
78.6, 166
74.2, 150
76.0, 139
55.3, 129



(4)
Tc4OsPb3: calculated powder XRD pattern (CuKα), based on the PBE geometry in OQMD.
Lines closer than 0.1° are merged.

Cell and atoms:
```
Tc4OsPb3
1.0
5.4535 0.0000 0.0000
0.0000 5.4535 0.0000
0.0000 0.0000 5.4535
Tc Os Pb
4 1 3
direct
0.0000 0.0000 0.0000
0.0000 0.5000 0.5000
0.5000 0.0000 0.5000
0.5000 0.5000 0.0000
0.5000 0.5000 0.5000
0.0000 0.0000 0.5000
0.0000 0.5000 0.0000
0.5000 0.0000 0.0000
```

Principal peaks in the range 2θ from 10° to 80°, most intense first:
Position (°2θ), Rel. int.
32.8, 1000
47.1, 735
78.4, 334
58.6, 256
28.3, 205
68.9, 119
55.9, 105
76.1, 46



(5)
K2Rb2LiReO6: calculated powder XRD pattern (CuKα), based on the PBE geometry in OQMD.
Lines closer than 0.1° are merged.

Cell and atoms:
```
K2Rb2LiReO6
1.0
3.1153 -5.5379 0.0000
3.1153 5.5379 0.0000
-3.0486 0.0000 5.5148
K Rb Li Re O
2 2 1 1 6
direct
0.1682 0.8318 0.0000
0.8318 0.1682 0.0000
0.1772 0.8228 0.5000
0.8228 0.1772 0.5000
0.5000 0.5000 0.5000
0.5000 0.5000 0.0000
0.1542 0.1542 0.8286
0.3743 0.6144 0.2202
0.3856 0.6257 0.7798
0.6144 0.3743 0.2202
0.6257 0.3856 0.7798
0.8458 0.8458 0.1714
```

Principal peaks in the range 2θ from 10° to 80°, most intense first:
Position (°2θ), Rel. int.
29.2, 1000
18.3, 977
37.5, 746
22.8, 693
32.8, 513
50.2, 324
32.5, 277
33.2, 258
51.2, 246
16.1, 240
18.1, 182
33.0, 176



(6)
RbFe3Sb5: calculated powder XRD pattern (CuKα), based on the PBE geometry in OQMD.
Lines closer than 0.1° are merged.

Cell and atoms:
```
RbFe3Sb5
1.0
5.4055 0.0000 0.0000
-2.7027 4.6813 0.0000
0.0000 0.0000 9.1163
Rb Fe Sb
1 3 5
direct
0.0000 0.0000 0.0000
0.0000 0.5000 0.5000
0.5000 0.0000 0.5000
0.5000 0.5000 0.5000
0.0000 0.0000 0.5000
0.3333 0.6667 0.2602
0.3333 0.6667 0.7398
0.6667 0.3333 0.2602
0.6667 0.3333 0.7398
```

Principal peaks in the range 2θ from 10° to 80°, most intense first:
Position (°2θ), Rel. int.
27.3, 1000
33.1, 798
43.5, 724
52.5, 405
39.5, 297
38.7, 286
55.7, 269
69.6, 166
73.6, 148
59.2, 148
74.4, 132
76.3, 108



(7)
Ho2Al4CuPd: calculated powder XRD pattern (CuKα), based on the PBE geometry in OQMD.
Lines closer than 0.1° are merged.

Cell and atoms:
```
Ho2Al4CuPd
1.0
6.8021 0.0000 0.0000
0.0000 2.1479 5.0683
0.0000 -2.1479 5.0683
Ho Al Cu Pd
2 4 1 1
direct
0.0000 0.0000 0.0000
0.5000 0.1474 0.1474
0.2000 0.7131 0.7131
0.3050 0.4355 0.4355
0.6950 0.4355 0.4355
0.8000 0.7131 0.7131
0.5000 0.8652 0.8652
0.0000 0.2824 0.2824
```

Principal peaks in the range 2θ from 10° to 80°, most intense first:
Position (°2θ), Rel. int.
36.3, 1000
34.8, 806
22.5, 563
37.9, 470
26.2, 470
42.1, 285
57.9, 271
53.1, 251
21.9, 162
54.3, 161
50.2, 160
71.0, 143